[1]
TbSm6Er2Sc3: theoretical powder diffraction line list (a wavelength of 1.5418 Å), based on DFT lattice parameters and positions (GGA-PBE).
Neutral-atom scattering factors, no anomalous dispersion.

Main lines, by intensity (2θ = 5–70°):
31.12 deg, 2.874 Å, rel. 100
36.25 deg, 2.478 Å, rel. 66
31.68 deg, 2.824 Å, rel. 31
7.83 deg, 11.297 Å, rel. 28
62.03 deg, 1.496 Å, rel. 27
51.83 deg, 1.764 Å, rel. 24
52.57 deg, 1.741 Å, rel. 24
61.70 deg, 1.503 Å, rel. 14

Crystal structure
Lattice parameters (Å, degrees): 6.1095 6.1095 11.4780 95.08 95.08 119.97
Fractional positions:
Tb1 0.0000 0.0000 0.0000
Sm1 0.0860 0.4195 0.2583
Sm2 0.2475 0.2475 0.7417
Sm3 0.4195 0.0860 0.2583
Sm4 0.5805 0.9140 0.7417
Sm5 0.7525 0.7525 0.2583
Sm6 0.9140 0.5805 0.7417
Er1 0.3334 0.6666 0.0000
Er2 0.6666 0.3334 0.0000
Sc1 0.1668 0.8332 0.5000
Sc2 0.5000 0.5000 0.5000
Sc3 0.8332 0.1668 0.5000

[2]
MgHS: theoretical powder diffraction line list (a wavelength of 1.5418 Å), based on DFT lattice parameters and positions (GGA-PBE).
Neutral-atom scattering factors, no anomalous dispersion.

Main lines, by intensity (2θ = 5–70°):
26.92 deg, 3.311 Å, rel. 100
26.41 deg, 3.375 Å, rel. 97
43.92 deg, 2.062 Å, rel. 72
44.22 deg, 2.048 Å, rel. 47
45.29 deg, 2.002 Å, rel. 22
51.58 deg, 1.772 Å, rel. 16
52.02 deg, 1.758 Å, rel. 14
52.61 deg, 1.740 Å, rel. 14

Crystal structure
Lattice parameters (Å, degrees): 4.0994 4.0994 5.7851 91.12 91.12 91.81
Fractional positions:
Mg1 0.2437 0.2437 0.2518
Mg2 0.7563 0.7563 0.7482
H1 0.1649 0.7264 0.0367
H2 0.2736 0.8351 0.9633
S1 0.2474 0.7526 0.5000
S2 0.7346 0.2654 0.0000

[3]
PrZn6Pt4: theoretical powder diffraction line list (a wavelength of 1.5418 Å), based on DFT lattice parameters and positions (GGA-PBE).
Neutral-atom scattering factors, no anomalous dispersion.

Main lines, by intensity (2θ = 5–70°):
35.82 deg, 2.507 Å, rel. 100
43.68 deg, 2.072 Å, rel. 93
32.85 deg, 2.726 Å, rel. 78
37.29 deg, 2.411 Å, rel. 66
48.33 deg, 1.883 Å, rel. 66
27.97 deg, 3.190 Å, rel. 55
44.71 deg, 2.027 Å, rel. 49
26.04 deg, 3.422 Å, rel. 46

Crystal structure
Lattice parameters (Å, degrees): 7.3669 7.3669 4.0541 90.00 90.00 120.00
Fractional positions:
Pr1 0.0000 0.0000 0.0000
Zn1 0.2023 0.4046 0.5000
Zn2 0.2023 0.7977 0.5000
Zn3 0.5347 0.0694 0.0000
Zn4 0.5347 0.4653 0.0000
Zn5 0.5954 0.7977 0.5000
Zn6 0.9306 0.4653 0.0000
Pt1 0.3333 0.6667 0.0000
Pt2 0.3996 0.1998 0.5000
Pt3 0.8002 0.1998 0.5000
Pt4 0.8002 0.6004 0.5000

[4]
Tl6Sn2Pb: theoretical powder diffraction line list (a wavelength of 1.5418 Å), based on DFT lattice parameters and positions (GGA-PBE).
Neutral-atom scattering factors, no anomalous dispersion.

Main lines, by intensity (2θ = 5–70°):
33.90 deg, 2.644 Å, rel. 100
32.01 deg, 2.796 Å, rel. 70
28.39 deg, 3.144 Å, rel. 54
50.27 deg, 1.815 Å, rel. 41
61.43 deg, 1.509 Å, rel. 40
32.96 deg, 2.717 Å, rel. 39
44.05 deg, 2.056 Å, rel. 29
60.65 deg, 1.527 Å, rel. 26

Crystal structure
Lattice parameters (Å, degrees): 3.6298 3.6298 24.4558 90.00 90.00 120.00
Fractional positions:
Tl1 0.0000 0.0000 0.0668
Tl2 0.0000 0.0000 0.2756
Tl3 0.0000 0.0000 0.7244
Tl4 0.0000 0.0000 0.9332
Tl5 0.3333 0.6667 0.3892
Tl6 0.3333 0.6667 0.6108
Sn1 0.3333 0.6667 0.1713
Sn2 0.3333 0.6667 0.8287
Pb1 0.0000 0.0000 0.5000